Theoretical powder diffraction line list
Compound: Mn3CrP6O24
Radiation: λ = 1.5418 Å (Cu Kα)
Structure: a DFT-relaxed cell (GGA+U, Alexandria)

Structure:
Cell lengths 8.2714, 8.2714, 21.7771 Å; angles 90.00, 90.00, 120.00 degrees
Space group R3 (No. 146, hexagonal axes)
Unique sites:
Mn (0.0000, 0.0000, 0.0000) (multiplicity 3)
Mn (0.0000, 0.0000, 0.2132) (multiplicity 3)
Mn (0.0000, 0.0000, 0.7064) (multiplicity 3)
Cr (0.0000, 0.0000, 0.4943) (multiplicity 3)
P (0.0491, 0.3805, 0.2714) (multiplicity 9)
P (0.0520, 0.6674, 0.7697) (multiplicity 9)
O (0.0036, 0.1932, 0.5432) (multiplicity 9)
O (0.0171, 0.8254, 0.4419) (multiplicity 9)
O (0.0813, 0.8653, 0.0510) (multiplicity 9)
O (0.0862, 0.8651, 0.7580) (multiplicity 9)
O (0.1433, 0.6724, 0.8320) (multiplicity 9)
O (0.1646, 0.4696, 0.9330) (multiplicity 9)
O (0.1978, 0.4478, 0.3233) (multiplicity 9)
O (0.1988, 0.4433, 0.6164) (multiplicity 9)

Principal peaks in the range 5 to 70 degrees two-theta, by angle:
Position (°2θ)	Rel. int.
14.8	596
20.5	696
21.5	273
24.8	1000
29.9	550
32.8	445
33.3	149
54.0	156